The following is a simulated X-ray powder pattern of Li6CrF8. It was derived from a DFT-relaxed cell (PBE+U, Alexandria), using λ = 1.5418 Å (Cu Kα).
Intensities are scaled so that the largest is 100.

Structural model:
a = 5.893 Å, b = 5.893 Å, c = 5.893 Å
α = 60.00°, β = 60.00°, γ = 60.00°
Sites, in units of the cell vectors:
Li  0.000  0.000  0.500
Li  0.000  0.500  0.000
Li  0.000  0.500  0.500
Li  0.500  0.000  0.000
Li  0.500  0.000  0.500
Li  0.500  0.500  0.000
Cr  0.000  0.000  0.000
F  0.244  0.244  0.756
F  0.244  0.756  0.244
F  0.244  0.756  0.756
F  0.250  0.250  0.250
F  0.750  0.750  0.750
F  0.756  0.244  0.244
F  0.756  0.244  0.756
F  0.756  0.756  0.244

Peak list (8 most intense, 2θ = 10–90°, low angle first)
d (Å), I_rel
4.812, 83.5
4.167, 24.0
2.947, 19.7
2.513, 35.0
2.406, 19.4
2.084, 100.0
1.473, 52.2
1.203, 14.9